For Li4Ni2P3O12, a cell relaxed with GGA+U gives the theoretical PXRD pattern in this record (λ = 1.5418 Å (Cu Kα)).
Intensities are scaled so that the largest is 100.

Cell and atoms:
```
data_Li4Ni2P3O12
_chemical_formula_sum 'Li8 Ni4 P6 O24'
_space_group_name_H-M_alt 'P -1'
_space_group_IT_number 2
_cell_length_a 8.3113
_cell_length_b 8.4077
_cell_length_c 9.1321
_cell_angle_alpha 91.30
_cell_angle_beta 116.65
_cell_angle_gamma 119.12
loop_
_space_group_symop_operation_xyz
'x,y,z'
'-x,-y,-z'
loop_
_atom_site_label
_atom_site_type_symbol
_atom_site_fract_x
_atom_site_fract_y
_atom_site_fract_z
Li1 Li 0.0616 0.3313 0.1425
Li2 Li 0.1935 0.2710 0.8631
Li3 Li 0.3266 0.7932 0.5889
Li4 Li 0.3696 0.0597 0.0971
Ni1 Ni 0.2859 0.1444 0.4334
Ni2 Ni 0.3085 0.6494 0.9616
P1 P 0.2000 0.7468 0.2399
P2 P 0.2131 0.9563 0.7472
P3 P 0.4983 0.5474 0.7519
O1 O 0.0080 0.1427 0.2648
O2 O 0.0243 0.5327 0.1917
O3 O 0.1189 0.8749 0.2535
O4 O 0.1993 0.9781 0.5776
O5 O 0.2488 0.7881 0.0919
O6 O 0.3024 0.4428 0.0982
O7 O 0.3140 0.8360 0.8035
O8 O 0.3264 0.4986 0.8013
O9 O 0.3577 0.1530 0.8955
O10 O 0.3860 0.3950 0.5837
O11 O 0.4010 0.8024 0.4130
O12 O 0.4184 0.2499 0.2725
```

Peak list (12 most intense, 2θ from 15° to 90°, sorted by position)
d (Å)	Position (°2θ)	I (rel.)	hkl
4.550	19.5	100	0 1 1
4.532	19.6	39	1 0 -2
3.717	23.9	76	1 1 0
3.678	24.2	52	-1 2 1
3.648	24.4	20	-2 1 2
3.119	28.6	34	0 2 -2
3.087	28.9	32	2 0 0
3.045	29.3	28	-2 2 2
2.867	31.2	51	1 1 -3
2.854	31.3	46	2 -1 1
2.833	31.6	26	-1 2 2
1.780	51.3	21	3 -2 2